1.
Theoretical PXRD pattern of TiReN3 for copper Kα, from DFT lattice parameters and positions (PBE).
Intensities are scaled so that the largest is 100.

```
data_TiReN3
_symmetry_space_group_name_H-M 'P 1 m 1'
_symmetry_Int_Tables_number 6
_cell_length_a 5.7592
_cell_length_b 2.8180
_cell_length_c 5.9107
_cell_angle_alpha 90.00
_cell_angle_beta 90.07
_cell_angle_gamma 90.00
loop_
_symmetry_equiv_pos_as_xyz
'x,y,z'
'x,-y,z'
loop_
_atom_site_label
_atom_site_type_symbol
_atom_site_fract_x
_atom_site_fract_y
_atom_site_fract_z
Ti1 Ti 0.0000 0.0000 0.0000
Ti2 Ti 0.4961 0.0000 0.9691
Re1 Re 0.2852 0.5000 0.4370
Re2 Re 0.7613 0.0000 0.5726
N1 N 0.0391 0.0000 0.3626
N2 N 0.2618 0.5000 0.0796
N3 N 0.5188 0.5000 0.7026
N4 N 0.6485 0.5000 0.3293
N5 N 0.7288 0.5000 0.1101
N6 N 0.9936 0.5000 0.7211
```

Peak list (8 most intense, 10 to 80 degrees two-theta, sorted by position)
| d/Å | two_theta | intensity | index |
| --- | --- | --- | --- |
| 5.911 | 14.99 | 100 | 0 0 1 |
| 4.126 | 21.54 | 33 | 1 0 -1 |
| 2.955 | 30.24 | 34 | 0 0 2 |
| 2.629 | 34.10 | 39 | 1 0 -2 |
| 2.589 | 34.65 | 73 | 2 0 -1 |
| 2.531 | 35.46 | 58 | 1 1 0 |
| 2.327 | 38.70 | 80 | 1 1 1 |
| 1.922 | 47.29 | 28 | 1 1 2 |


2.
Theoretical PXRD pattern of Ti4ReN2 for copper Kα, from DFT lattice parameters and positions (PBE).
Intensities are scaled so that the largest is 100.

```
data_Ti4ReN2
_symmetry_space_group_name_H-M 'C m c m'
_symmetry_Int_Tables_number 63
_symmetry_space_group_name_Hall '-C 2c 2'
_cell_length_a 3.0986
_cell_length_b 10.4429
_cell_length_c 10.9715
_cell_angle_alpha 90.00
_cell_angle_beta 90.00
_cell_angle_gamma 90.00
loop_
_atom_site_label
_atom_site_type_symbol
_atom_site_fract_x
_atom_site_fract_y
_atom_site_fract_z
Ti1 Ti 0.0000 0.0000 0.0000
Ti2 Ti 0.0000 0.2669 0.1047
Ti3 Ti 0.0000 0.4159 0.7500
Re1 Re 0.0000 0.1048 0.7500
N1 N 0.0000 0.3655 0.5582
```

Peak list (8 most intense, 10 to 80 degrees two-theta, sorted by position)
| d/Å | two_theta | intensity | index |
| --- | --- | --- | --- |
| 5.486 | 16.16 | 55 | 0 0 2 |
| 4.715 | 18.82 | 80 | 0 2 1 |
| 2.995 | 29.83 | 29 | 0 2 3 |
| 2.428 | 37.02 | 31 | 0 2 4 |
| 2.357 | 38.18 | 41 | 0 4 2 |
| 2.306 | 39.07 | 58 | 1 1 3 |
| 2.265 | 39.80 | 100 | 1 3 1 |
| 2.015 | 44.98 | 24 | 1 1 4 |